No. 1
The following is a computed powder diffraction line list of Ag2Pb2O. It was derived from a structure optimized by DFT (GGA-PBE), using Cu Ka.

Crystal structure
a = 6.3118 Å, b = 6.3118 Å, c = 5.3924 Å
α = 90.00°, β = 90.00°, γ = 90.00°
Fractional positions:
Ag 0.1695 0.3305 0.0000
Ag 0.3305 0.8305 0.0000
Ag 0.6695 0.1695 0.0000
Ag 0.8305 0.6695 0.0000
Pb 0.1798 0.6798 0.5000
Pb 0.3202 0.1798 0.5000
Pb 0.6798 0.8202 0.5000
Pb 0.8202 0.3202 0.5000
O 0.0000 0.0000 0.0000
O 0.5000 0.5000 0.0000

Largest 10 diffraction maxima, by angle, 5° ≤ 2θ ≤ 70°:
16.44°, intensity 10.0; 28.28°, intensity 29.8; 33.23°, intensity 31.9; 35.91°, intensity 100.0; 44.18°, intensity 18.2; 45.44°, intensity 10.8; 57.44°, intensity 10.6; 61.12°, intensity 21.2; 62.42°, intensity 8.6; 63.13°, intensity 27.6

=====

No. 2
The following is a computed powder diffraction line list of Dy3Ga3Rh. It was derived from a structure optimized by DFT (GGA-PBE), using Cu Ka.

Crystal structure
a = 5.8373 Å, b = 5.8373 Å, c = 14.1181 Å
α = 108.33°, β = 108.33°, γ = 42.94°
Fractional positions:
Dy 0.0265 0.0265 0.3814
Dy 0.1076 0.1076 0.9231
Dy 0.2368 0.2368 0.2358
Dy 0.7632 0.7632 0.7642
Dy 0.8924 0.8924 0.0769
Dy 0.9735 0.9735 0.6186
Ga 0.3635 0.3635 0.4608
Ga 0.3917 0.3917 0.9238
Ga 0.4702 0.4702 0.7667
Ga 0.5298 0.5298 0.2333
Ga 0.6083 0.6083 0.0762
Ga 0.6365 0.6365 0.5392
Rh 0.2565 0.2565 0.5999
Rh 0.7435 0.7435 0.4001

Largest 10 diffraction maxima, by angle, 5° ≤ 2θ ≤ 70°:
32.31°, intensity 100.0; 32.48°, intensity 58.5; 32.92°, intensity 71.8; 33.02°, intensity 41.0; 37.27°, intensity 50.2; 39.63°, intensity 70.0; 40.74°, intensity 31.2; 42.31°, intensity 62.4; 54.83°, intensity 26.7; 63.80°, intensity 32.1